Theoretical X-ray diffraction stick pattern of LaAgPdAu for Cu Kα, from a structure optimized by DFT (PBE).

Cell and atoms:
```
data_LaAgPdAu
_chemical_formula_sum 'La2 Ag2 Pd2 Au2'
_symmetry_space_group_name_H-M 'P 1'
_symmetry_Int_Tables_number 1
_cell_length_a 8.2013
_cell_length_b 4.7160
_cell_length_c 5.4078
_cell_angle_alpha 90.00
_cell_angle_beta 120.20
_cell_angle_gamma 90.00
loop_
_symmetry_equiv_pos_as_xyz
'x,y,z'
loop_
_atom_site_label
_atom_site_type_symbol
_atom_site_fract_x
_atom_site_fract_y
_atom_site_fract_z
_atom_site_occupancy
La1 La 0.0000 0.0000 0.0000 1
La2 La 0.5000 0.5000 0.0000 1
Ag1 Ag 0.4885 0.0000 0.4651 1
Ag2 Ag 0.9885 0.5000 0.4651 1
Pd1 Pd 0.2851 0.5000 0.3559 1
Pd2 Pd 0.7851 0.0000 0.3559 1
Au1 Au 0.2211 0.0000 0.6618 1
Au2 Au 0.7211 0.5000 0.6618 1
```

Top 8 peaks for 2θ = 15–90°, low angle first:
d 4.674, 2θ = 18.99°, intensity 15
d 3.929, 2θ = 22.63°, intensity 20
d 2.662, 2θ = 33.67°, intensity 100
d 2.365, 2θ = 38.05°, intensity 68
d 2.358, 2θ = 38.17°, intensity 34
d 2.311, 2θ = 38.97°, intensity 20
d 1.765, 2θ = 51.81°, intensity 19
d 1.416, 2θ = 65.97°, intensity 19